Computed PXRD pattern of AgBi6Pb5 for copper Kα, from the GGA-PBE geometry in Alexandria.

Atomic structure:
a = 6.729 Å, b = 7.289 Å, c = 8.912 Å
α = 109.90°, β = 106.51°, γ = 94.97°
Space group P-1 (No. 2)
Unique sites:
Ag 0.000 0.000 0.000
Bi 0.141 0.617 0.925
Bi 0.159 0.072 0.395
Bi 0.488 0.219 0.241
Pb 0.000 0.500 0.500
Pb 0.308 0.195 0.851
Pb 0.350 0.655 0.329

Most intense lines, 15° ≤ 2θ ≤ 90°, low angle first:
d = 3.249 Å, rel. 63, hkl 1 -2 0; d = 2.933 Å, rel. 100, hkl 1 0 2; d = 2.915 Å, rel. 49, hkl 1 1 -3; d = 2.186 Å, rel. 19, hkl -3 1 1; d = 2.179 Å, rel. 56, hkl 2 -2 2; d = 2.166 Å, rel. 20, hkl 1 3 -1; d = 2.160 Å, rel. 20, hkl 0 3 -3; d = 1.697 Å, rel. 10, hkl 3 1 1; d = 1.686 Å, rel. 19, hkl 0 1 -5; d = 1.501 Å, rel. 11, hkl 2 3 1